This entry pairs a crystal structure of LaSm8Pb6 with its calculated X-ray diffraction stick pattern. Radiation: a wavelength of 1.5418 Å. Structure: DFT lattice parameters and positions (GGA-PBE).
Kinematic intensities with the Lorentz-polarization factor, no thermal factor.

Structure:
Unit cell a=8.5858 b=8.5858 c=8.5858 alpha=66.41 beta=66.41 gamma=66.41
Positions (direct):
La 0.0000 0.0000 0.0000
Sm 0.1048 0.7736 0.4319
Sm 0.2264 0.5681 0.8952
Sm 0.3327 0.3327 0.3327
Sm 0.4319 0.1048 0.7736
Sm 0.5681 0.8952 0.2264
Sm 0.6673 0.6673 0.6673
Sm 0.7736 0.4319 0.1048
Sm 0.8952 0.2264 0.5681
Pb 0.0687 0.4091 0.7303
Pb 0.2697 0.9313 0.5909
Pb 0.4091 0.7303 0.0687
Pb 0.5909 0.2697 0.9313
Pb 0.7303 0.0687 0.4091
Pb 0.9313 0.5909 0.2697

Principal peaks in the range 2θ from 5° to 70°, sorted by position:
| 2θ/deg | I/Imax |
| --- | --- |
| 18.87 | 12 |
| 23.17 | 11 |
| 26.81 | 8 |
| 32.99 | 100 |
| 43.01 | 13 |
| 47.35 | 17 |
| 58.92 | 37 |
| 69.21 | 12 |

***

This entry pairs a crystal structure of La3SnPb2 with its calculated X-ray diffraction stick pattern. Radiation: a wavelength of 1.5418 Å. Structure: DFT lattice parameters and positions (GGA-PBE).
Kinematic intensities with the Lorentz-polarization factor, no thermal factor.

Structure:
Unit cell a=13.4631 b=4.7921 c=12.5303 alpha=90.00 beta=90.00 gamma=90.00
Positions (direct):
La 0.0498 0.2500 0.1158
La 0.1223 0.7500 0.5605
La 0.2307 0.2500 0.7957
La 0.2693 0.7500 0.2957
La 0.3777 0.2500 0.0605
La 0.4502 0.7500 0.6158
La 0.5498 0.2500 0.3842
La 0.6223 0.7500 0.9395
La 0.7307 0.2500 0.7043
La 0.7693 0.7500 0.2043
La 0.8777 0.2500 0.4395
La 0.9502 0.7500 0.8842
Sn 0.1236 0.2500 0.3745
Sn 0.3764 0.7500 0.8745
Sn 0.6236 0.2500 0.1255
Sn 0.8764 0.7500 0.6255
Pb 0.0066 0.2500 0.7082
Pb 0.1885 0.7500 0.0172
Pb 0.3115 0.2500 0.5172
Pb 0.4934 0.7500 0.2082
Pb 0.5066 0.2500 0.7918
Pb 0.6885 0.7500 0.4828
Pb 0.8115 0.2500 0.9828
Pb 0.9934 0.7500 0.2918

Principal peaks in the range 2θ from 5° to 70°, sorted by position:
| 2θ/deg | I/Imax |
| --- | --- |
| 26.91 | 67 |
| 28.34 | 95 |
| 30.14 | 45 |
| 30.80 | 100 |
| 33.31 | 92 |
| 34.84 | 57 |
| 37.54 | 84 |
| 41.26 | 47 |

***

This entry pairs a crystal structure of La2SnPb with its calculated X-ray diffraction stick pattern. Radiation: a wavelength of 1.5418 Å. Structure: DFT lattice parameters and positions (GGA-PBE).
Kinematic intensities with the Lorentz-polarization factor, no thermal factor.

Structure:
Unit cell a=6.5102 b=4.5120 c=9.4421 alpha=90.00 beta=107.93 gamma=90.00
Positions (direct):
La 0.1960 0.2500 0.4304
La 0.2926 0.7500 0.0646
La 0.7074 0.2500 0.9354
La 0.8040 0.7500 0.5696
Sn 0.1166 0.2500 0.7947
Sn 0.8834 0.7500 0.2053
Pb 0.3887 0.7500 0.7043
Pb 0.6113 0.2500 0.2957

Principal peaks in the range 2θ from 5° to 70°, sorted by position:
| 2θ/deg | I/Imax |
| --- | --- |
| 28.03 | 100 |
| 29.57 | 35 |
| 35.15 | 88 |
| 35.77 | 18 |
| 37.16 | 30 |
| 39.96 | 24 |
| 48.18 | 18 |
| 55.70 | 19 |

***

This entry pairs a crystal structure of La3Sn3Pb with its calculated X-ray diffraction stick pattern. Radiation: a wavelength of 1.5418 Å. Structure: DFT lattice parameters and positions (GGA-PBE).
Kinematic intensities with the Lorentz-polarization factor, no thermal factor.

Structure:
Unit cell a=9.4326 b=9.4326 c=6.1782 alpha=90.00 beta=90.00 gamma=120.00
Positions (direct):
La 0.0846 0.6673 0.2500
La 0.3327 0.4173 0.2500
La 0.4173 0.0846 0.7500
La 0.5827 0.9154 0.2500
La 0.6673 0.5827 0.7500
La 0.9154 0.3327 0.7500
Sn 0.0638 0.7564 0.7500
Sn 0.2436 0.3074 0.7500
Sn 0.3074 0.0638 0.2500
Sn 0.6926 0.9362 0.7500
Sn 0.7564 0.6926 0.2500
Sn 0.9362 0.2436 0.2500
Pb 0.3333 0.6667 0.7500
Pb 0.6667 0.3333 0.2500

Principal peaks in the range 2θ from 5° to 70°, sorted by position:
| 2θ/deg | I/Imax |
| --- | --- |
| 28.91 | 95 |
| 32.42 | 100 |
| 32.89 | 27 |
| 41.34 | 32 |
| 44.35 | 25 |
| 53.48 | 26 |
| 59.90 | 17 |
| 61.96 | 18 |

***

This entry pairs a crystal structure of La7Sn2Pb2 with its calculated X-ray diffraction stick pattern. Radiation: a wavelength of 1.5418 Å. Structure: DFT lattice parameters and positions (GGA-PBE).
Kinematic intensities with the Lorentz-polarization factor, no thermal factor.

Structure:
Unit cell a=7.5314 b=7.5314 c=7.3756 alpha=90.00 beta=90.00 gamma=105.10
Positions (direct):
La 0.0000 0.0000 0.0000
La 0.0000 0.5000 0.2940
La 0.0000 0.5000 0.7060
La 0.5000 0.0000 0.2940
La 0.5000 0.0000 0.7060
La 0.5000 0.5000 0.2565
La 0.5000 0.5000 0.7435
Sn 0.2730 0.7270 0.0000
Sn 0.7270 0.2730 0.0000
Pb 0.1753 0.1753 0.5000
Pb 0.8247 0.8247 0.5000

Principal peaks in the range 2θ from 5° to 70°, sorted by position:
| 2θ/deg | I/Imax |
| --- | --- |
| 22.86 | 50 |
| 24.48 | 18 |
| 27.11 | 36 |
| 29.89 | 55 |
| 32.61 | 19 |
| 34.62 | 100 |
| 37.96 | 25 |
| 39.12 | 19 |

***

This entry pairs a crystal structure of La2SnPb5 with its calculated X-ray diffraction stick pattern. Radiation: a wavelength of 1.5418 Å. Structure: DFT lattice parameters and positions (GGA-PBE).
Kinematic intensities with the Lorentz-polarization factor, no thermal factor.

Structure:
Unit cell a=6.9141 b=13.8349 c=5.0334 alpha=90.00 beta=90.00 gamma=90.00
Positions (direct):
La 0.2451 0.1228 0.0000
La 0.2549 0.6228 0.0000
La 0.7451 0.3772 0.0000
La 0.7549 0.8772 0.0000
Sn 0.0000 0.0000 0.5000
Sn 0.5000 0.5000 0.5000
Pb 0.0000 0.5000 0.5000
Pb 0.0029 0.7512 0.5000
Pb 0.2483 0.3747 0.0000
Pb 0.2517 0.8747 0.0000
Pb 0.4971 0.2512 0.5000
Pb 0.5000 0.0000 0.5000
Pb 0.5029 0.7488 0.5000
Pb 0.7483 0.1253 0.0000
Pb 0.7517 0.6253 0.0000
Pb 0.9971 0.2488 0.5000

Principal peaks in the range 2θ from 5° to 70°, sorted by position:
| 2θ/deg | I/Imax |
| --- | --- |
| 31.39 | 100 |
| 35.68 | 18 |
| 36.76 | 33 |
| 52.16 | 25 |
| 52.96 | 12 |
| 61.42 | 15 |
| 62.87 | 28 |
| 65.50 | 13 |

***

This entry pairs a crystal structure of La6Sn3Pb with its calculated X-ray diffraction stick pattern. Radiation: a wavelength of 1.5418 Å. Structure: DFT lattice parameters and positions (GGA-PBE).
Kinematic intensities with the Lorentz-polarization factor, no thermal factor.

Structure:
Unit cell a=9.5945 b=9.5945 c=8.2072 alpha=90.00 beta=90.00 gamma=112.29
Positions (direct):
La 0.0225 0.9775 0.5000
La 0.0992 0.5088 0.9976
La 0.2405 0.3238 0.6352
La 0.2898 0.7102 0.5750
La 0.3238 0.2405 0.1352
La 0.4912 0.9008 0.9976
La 0.5088 0.0992 0.4976
La 0.6762 0.7595 0.6352
La 0.7102 0.2898 0.0750
La 0.7595 0.6762 0.1352
La 0.9008 0.4912 0.4976
La 0.9775 0.0225 0.0000
Sn 0.0160 0.2709 0.2917
Sn 0.2709 0.0160 0.7917
Sn 0.4456 0.5544 0.9047
Sn 0.5544 0.4456 0.4047
Sn 0.7291 0.9840 0.2917
Sn 0.9840 0.7291 0.7917
Pb 0.1701 0.8299 0.2297
Pb 0.8299 0.1701 0.7297

Principal peaks in the range 2θ from 5° to 70°, sorted by position:
| 2θ/deg | I/Imax |
| --- | --- |
| 27.86 | 43 |
| 28.73 | 62 |
| 29.65 | 71 |
| 30.02 | 100 |
| 31.28 | 41 |
| 35.52 | 26 |
| 37.14 | 31 |
| 59.56 | 23 |

***

This entry pairs a crystal structure of SrLa4Pb5 with its calculated X-ray diffraction stick pattern. Radiation: a wavelength of 1.5418 Å. Structure: DFT lattice parameters and positions (GGA-PBE).
Kinematic intensities with the Lorentz-polarization factor, no thermal factor.

Structure:
Unit cell a=3.7007 b=3.7007 c=23.4441 alpha=90.00 beta=90.00 gamma=90.00
Positions (direct):
Sr 0.0000 0.0000 0.0000
La 0.0000 0.0000 0.2028
La 0.0000 0.0000 0.4013
La 0.0000 0.0000 0.5987
La 0.0000 0.0000 0.7972
Pb 0.5000 0.5000 0.1032
Pb 0.5000 0.5000 0.3020
Pb 0.5000 0.5000 0.5000
Pb 0.5000 0.5000 0.6980
Pb 0.5000 0.5000 0.8968

Principal peaks in the range 2θ from 5° to 70°, sorted by position:
| 2θ/deg | I/Imax |
| --- | --- |
| 30.78 | 100 |
| 34.27 | 38 |
| 38.40 | 14 |
| 49.25 | 14 |
| 52.40 | 23 |
| 59.20 | 32 |
| 64.12 | 12 |
| 64.75 | 12 |

***

This entry pairs a crystal structure of SrLa2Pb9 with its calculated X-ray diffraction stick pattern. Radiation: a wavelength of 1.5418 Å. Structure: DFT lattice parameters and positions (GGA-PBE).
Kinematic intensities with the Lorentz-polarization factor, no thermal factor.

Structure:
Unit cell a=4.9824 b=4.9824 c=14.9644 alpha=90.00 beta=90.00 gamma=90.00
Positions (direct):
Sr 0.0000 0.0000 0.0000
La 0.0000 0.0000 0.3372
La 0.0000 0.0000 0.6628
Pb 0.0000 0.5000 0.1683
Pb 0.0000 0.5000 0.5000
Pb 0.0000 0.5000 0.8317
Pb 0.5000 0.0000 0.1683
Pb 0.5000 0.0000 0.5000
Pb 0.5000 0.0000 0.8317
Pb 0.5000 0.5000 0.0000
Pb 0.5000 0.5000 0.3336
Pb 0.5000 0.5000 0.6664

Principal peaks in the range 2θ from 5° to 70°, sorted by position:
| 2θ/deg | I/Imax |
| --- | --- |
| 17.80 | 3 |
| 25.27 | 3 |
| 31.08 | 100 |
| 36.04 | 51 |
| 40.47 | 2 |
| 51.89 | 37 |
| 61.73 | 44 |
| 64.80 | 13 |

***

This entry pairs a crystal structure of Sr3LaPb4 with its calculated X-ray diffraction stick pattern. Radiation: a wavelength of 1.5418 Å. Structure: DFT lattice parameters and positions (GGA-PBE).
Kinematic intensities with the Lorentz-polarization factor, no thermal factor.

Structure:
Unit cell a=10.0891 b=10.0891 c=10.0891 alpha=149.06 beta=149.06 gamma=44.32
Positions (direct):
Sr 0.0000 0.0000 0.0000
Sr 0.2511 0.2511 0.0000
Sr 0.7489 0.7489 0.0000
La 0.5000 0.5000 0.0000
Pb 0.1231 0.6231 0.5000
Pb 0.3769 0.8769 0.5000
Pb 0.6231 0.1231 0.5000
Pb 0.8769 0.3769 0.5000

Principal peaks in the range 2θ from 5° to 70°, sorted by position:
| 2θ/deg | I/Imax |
| --- | --- |
| 30.29 | 100 |
| 33.29 | 39 |
| 38.56 | 19 |
| 47.80 | 14 |
| 51.83 | 25 |
| 57.64 | 33 |
| 63.01 | 13 |
| 64.67 | 12 |

***

This entry pairs a crystal structure of La3Tb2Pb3 with its calculated X-ray diffraction stick pattern. Radiation: a wavelength of 1.5418 Å. Structure: DFT lattice parameters and positions (GGA-PBE).
Kinematic intensities with the Lorentz-polarization factor, no thermal factor.

Structure:
Unit cell a=9.4361 b=9.4361 c=6.8344 alpha=90.00 beta=90.00 gamma=120.00
Positions (direct):
La 0.0000 0.2433 0.2500
La 0.0000 0.7567 0.7500
La 0.2433 0.0000 0.2500
La 0.2433 0.2433 0.7500
La 0.7567 0.0000 0.7500
La 0.7567 0.7567 0.2500
Tb 0.3333 0.6667 0.0000
Tb 0.3333 0.6667 0.5000
Tb 0.6667 0.3333 0.0000
Tb 0.6667 0.3333 0.5000
Pb 0.0000 0.3975 0.7500
Pb 0.0000 0.6025 0.2500
Pb 0.3975 0.0000 0.7500
Pb 0.3975 0.3975 0.2500
Pb 0.6025 0.0000 0.2500
Pb 0.6025 0.6025 0.7500

Principal peaks in the range 2θ from 5° to 70°, sorted by position:
| 2θ/deg | I/Imax |
| --- | --- |
| 26.08 | 23 |
| 28.91 | 24 |
| 31.79 | 100 |
| 32.35 | 80 |
| 32.88 | 45 |
| 42.00 | 25 |
| 49.73 | 29 |
| 63.05 | 22 |

***

This entry pairs a crystal structure of LaTb3Pb2 with its calculated X-ray diffraction stick pattern. Radiation: a wavelength of 1.5418 Å. Structure: DFT lattice parameters and positions (GGA-PBE).
Kinematic intensities with the Lorentz-polarization factor, no thermal factor.

Structure:
Unit cell a=4.6119 b=4.6119 c=8.7775 alpha=90.00 beta=90.00 gamma=90.00
Positions (direct):
La 0.0000 0.0000 0.0000
Tb 0.0000 0.5000 0.3465
Tb 0.5000 0.0000 0.6535
Tb 0.5000 0.5000 0.0000
Pb 0.0000 0.5000 0.7099
Pb 0.5000 0.0000 0.2901

Principal peaks in the range 2θ from 5° to 70°, sorted by position:
| 2θ/deg | I/Imax |
| --- | --- |
| 27.35 | 28 |
| 29.21 | 86 |
| 30.55 | 45 |
| 34.26 | 100 |
| 39.06 | 62 |
| 50.39 | 45 |
| 56.43 | 22 |
| 67.70 | 28 |